Record 1
# W9C4
Theoretical powder diffractogram, copper Kα. Input: a crystal structure in the Materials Project, relaxed with PBE.
Peak positions follow from Bragg's law for the DFT cell and can differ from measured ones.

Cell: 9.0380 9.0380 14.3420 Å, 90.00 90.00 120.00°
Space group R32 (No. 155, hexagonal axes)
Symmetry-distinct sites (fractional):
W: 0.1064 0.8926 0.2499 (multiplicity 18)
W: 0.1098 0.2212 0.9153 (multiplicity 18)
W: 0.1102 0.8884 0.5851 (multiplicity 18)
C: 0.0000 0.0000 0.0000 (multiplicity 3)
C: 0.0000 0.0000 0.5000 (multiplicity 3)
C: 0.0000 0.3343 0.0000 (multiplicity 9)
C: 0.0000 0.6677 0.5000 (multiplicity 9)

The 11 most intense peaks (2θ from 10° to 90°), sorted by position:
(hkl)  2θ (°)  I_rel
3 0 0  34.37  215
0 0 6  37.63  239
0 3 3  39.34  1000
3 0 6  51.88  164
3 3 0  61.57  188
0 3 9  69.06  193
6 0 0  72.45  26
3 3 6  74.45  200
6 0 3  75.55  149
0 0 12  80.34  30
0 6 6  84.64  41

=====

Record 2
# Cu4SO10
Theoretical powder diffractogram, copper Kα. Input: a crystal structure in the Materials Project, relaxed with PBE.
Peak positions follow from Bragg's law for the DFT cell and can differ from measured ones.

Cell: 5.838 12.938 11.199 Å, 90.00 121.37 90.00°
Space group P2_1/c (No. 14)
Symmetry-distinct sites (fractional):
Cu: 0.115 0.211 0.491 (multiplicity 4)
Cu: 0.133 0.138 0.758 (multiplicity 4)
Cu: 0.372 0.644 0.747 (multiplicity 4)
Cu: 0.385 0.714 0.010 (multiplicity 4)
S: 0.086 0.092 0.207 (multiplicity 4)
O: 0.001 0.671 0.625 (multiplicity 4)
O: 0.015 0.198 0.139 (multiplicity 4)
O: 0.166 0.537 0.334 (multiplicity 4)
O: 0.220 0.660 0.093 (multiplicity 4)
O: 0.236 0.612 0.866 (multiplicity 4)
O: 0.239 0.112 0.363 (multiplicity 4)
O: 0.255 0.109 0.635 (multiplicity 4)
O: 0.259 0.037 0.170 (multiplicity 4)
O: 0.457 0.239 0.084 (multiplicity 4)
O: 0.498 0.667 0.624 (multiplicity 4)

The 12 most intense peaks (2θ from 10° to 90°), sorted by position:
(hkl)  2θ (°)  I_rel
0 2 0  13.69  1000
0 2 1  16.55  571
0 3 1  22.61  251
0 2 2  23.13  455
0 2 3  31.29  159
0 4 2  33.45  497
0 3 3  35.01  129
2 1 0  36.74  881
2 3 -2  37.19  157
2 3 -5  47.19  183
2 3 2  53.94  212
2 1 4  67.34  150

=====

Record 3
# AlNi12Pt3
Theoretical powder diffractogram, copper Kα. Input: a crystal structure in the Materials Project, relaxed with PBE.
Peak positions follow from Bragg's law for the DFT cell and can differ from measured ones.

Cell: 3.622 3.622 14.509 Å, 90.00 90.00 90.00°
Space group P4/mmm (No. 123)
Symmetry-distinct sites (fractional):
Al: 0.000 0.000 0.000 (multiplicity 1)
Ni: 0.000 0.500 0.122 (multiplicity 4)
Ni: 0.000 0.500 0.375 (multiplicity 4)
Ni: 0.500 0.500 0.000 (multiplicity 1)
Ni: 0.500 0.500 0.249 (multiplicity 2)
Ni: 0.500 0.500 0.500 (multiplicity 1)
Pt: 0.000 0.000 0.250 (multiplicity 2)
Pt: 0.000 0.000 0.500 (multiplicity 1)

The 12 most intense peaks (2θ from 10° to 90°), sorted by position:
(hkl)  2θ (°)  I_rel
0 0 2  12.20  64
0 0 4  24.57  198
1 0 1  25.35  58
1 0 2  27.53  47
1 1 0  35.02  163
1 1 4  43.24  1000
2 0 0  50.36  474
2 0 4  56.81  90
1 1 8  62.81  68
2 2 0  73.99  287
1 1 12  89.67  118
3 1 4  89.80  237